# Li3CoPd3O8
Computed powder X-ray diffraction pattern, Cu Kα. Input: DFT lattice parameters and positions (GGA+U).
No peak broadening, texture or thermal motion is included.

Structural model:
abc: 6.197 6.197 5.842
angles: 117.72 117.72 56.77
Atoms (fractional coordinates):
Li 0.000 0.000 0.000
Li 0.000 0.500 0.000
Li 0.500 0.000 0.000
Co 0.000 0.000 0.500
Pd 0.000 0.500 0.500
Pd 0.500 0.000 0.500
Pd 0.500 0.500 0.500
O 0.213 0.213 0.709
O 0.214 0.214 0.225
O 0.216 0.735 0.698
O 0.265 0.784 0.302
O 0.735 0.216 0.698
O 0.784 0.265 0.302
O 0.786 0.786 0.775
O 0.787 0.787 0.291

Main lines, low angle first (2θ = 10–90°):
2θ/deg  I/Imax
17.9  100
32.9  17
35.5  31
36.2  25
36.5  8
38.9  21
43.6  33
45.2  13
57.5  9
59.7  10
60.1  11
61.3  7